Diffraction record for Ba2CaCuAg2F14. The X-ray powder pattern is simulated, not measured: it uses DFT lattice parameters and positions (GGA-PBE) and Cu Kα X-rays.
No peak broadening, texture or thermal motion is included.

Lattice parameters (Å, degrees): 7.6254 7.6254 15.4024 90.81 90.81 42.94
Fractional positions:
Ba  0.1022  0.2764  0.1267
Ba  0.2764  0.1022  0.6267
Ba  0.7236  0.8978  0.3733
Ba  0.8978  0.7236  0.8733
Ca  0.4089  0.5911  0.2500
Ca  0.5911  0.4089  0.7500
Cu  0.5000  0.5000  0.0000
Cu  0.5000  0.5000  0.5000
Ag  0.0857  0.1560  0.3744
Ag  0.1560  0.0857  0.8744
Ag  0.8440  0.9143  0.1256
Ag  0.9143  0.8440  0.6256
F  0.0464  0.6280  0.2272
F  0.0667  0.8993  0.3434
F  0.1007  0.9333  0.1566
F  0.1123  0.5999  0.0380
F  0.1441  0.3801  0.3994
F  0.1593  0.6779  0.5125
F  0.1914  0.5707  0.7228
F  0.3221  0.8407  0.9875
F  0.3720  0.9536  0.2728
F  0.3801  0.1441  0.8994
F  0.3919  0.5201  0.8883
F  0.4001  0.8877  0.4620
F  0.4293  0.8086  0.7772
F  0.4799  0.6081  0.6117
F  0.5201  0.3919  0.3883
F  0.5707  0.1914  0.2228
F  0.5999  0.1123  0.5380
F  0.6081  0.4799  0.1117
F  0.6199  0.8559  0.1006
F  0.6280  0.0464  0.7272
F  0.6779  0.1593  0.0125
F  0.8086  0.4293  0.2772
F  0.8407  0.3221  0.4875
F  0.8559  0.6199  0.6006
F  0.8877  0.4001  0.9620
F  0.8993  0.0667  0.8434
F  0.9333  0.1007  0.6566
F  0.9536  0.3720  0.7728

The 10 most intense peaks (10° ≤ 2θ ≤ 90°), in order of rising 2θ:
2θ/deg  d (Å)  intensity
17.08  5.191  26
23.10  3.850  37
24.67  3.609  100
27.17  3.282  34
28.79  3.101  49
28.94  3.085  33
39.69  2.271  17
39.90  2.260  23
40.05  2.251  23
47.21  1.925  20

=====

Diffraction record for PrCu6Ni6. The X-ray powder pattern is simulated, not measured: it uses DFT lattice parameters and positions (GGA-PBE) and Cu Kα X-rays.
No peak broadening, texture or thermal motion is included.

Lattice parameters (Å, degrees): 6.3958 6.3958 6.3958 135.99 98.12 98.03
Fractional positions:
Pr  0.0000  0.0000  0.0000
Cu  0.2247  0.5000  0.7247
Cu  0.3525  0.3525  0.0000
Cu  0.3559  0.0000  0.3559
Cu  0.6441  0.0000  0.6441
Cu  0.6475  0.6475  0.0000
Cu  0.7753  0.5000  0.2753
Ni  0.0000  0.0000  0.5000
Ni  0.0000  0.5000  0.0000
Ni  0.2282  0.7282  0.5000
Ni  0.5000  0.0000  0.0000
Ni  0.5000  0.5000  0.5000
Ni  0.7718  0.2718  0.5000

The 10 most intense peaks (10° ≤ 2θ ≤ 90°), in order of rising 2θ:
2θ/deg  d (Å)  intensity
30.26  2.954  26
37.24  2.415  48
43.15  2.097  63
43.24  2.093  100
43.49  2.081  73
48.57  1.874  24
48.86  1.864  38
71.66  1.317  21
79.18  1.210  22
79.36  1.207  20

=====

Diffraction record for Rb4AuI7. The X-ray powder pattern is simulated, not measured: it uses DFT lattice parameters and positions (GGA-PBE) and Cu Kα X-rays.
No peak broadening, texture or thermal motion is included.

Lattice parameters (Å, degrees): 9.9815 9.9815 12.1289 118.14 118.14 35.73
Fractional positions:
Rb  0.0480  0.0480  0.2353
Rb  0.2166  0.2166  0.8047
Rb  0.7834  0.7834  0.1953
Rb  0.9520  0.9520  0.7647
Au  0.5000  0.5000  0.5000
I  0.0000  0.0000  0.5000
I  0.1544  0.1544  0.0568
I  0.2584  0.2584  0.5157
I  0.4345  0.4345  0.2502
I  0.5655  0.5655  0.7498
I  0.7416  0.7416  0.4843
I  0.8456  0.8456  0.9432

The 10 most intense peaks (10° ≤ 2θ ≤ 90°), in order of rising 2θ:
2θ/deg  d (Å)  intensity
18.82  4.716  88
23.78  3.741  67
26.10  3.414  78
29.16  3.062  100
34.04  2.634  35
34.94  2.568  38
37.97  2.370  39
38.16  2.359  49
48.66  1.871  38
48.74  1.868  38